Structure and computed powder XRD pattern of MnNbSn2O8 (a GGA+U-relaxed structure; a wavelength of 1.5418 Å).
Intensities are scaled so that the largest is 100.

Structural model:
```
MnNbSn2O8
1.0
3.425 -3.445 0.000
3.425 3.445 0.000
0.000 0.000 6.242
Mn Nb Sn O
1 1 2 8
Cartesian
0.000 0.000 0.000 Mn
0.000 0.000 3.121 Nb
3.425 0.000 1.520 Sn
3.425 0.000 4.721 Sn
1.281 0.000 1.590 O
1.281 0.000 4.651 O
3.425 1.357 3.121 O
3.425 1.352 0.000 O
3.425 -1.352 0.000 O
3.425 -1.357 3.121 O
5.569 0.000 1.590 O
5.569 0.000 4.651 O
```

The 12 most intense peaks (2θ = 10–80°), by angle:
2θ (°)  d_spacing  I (rel.)
18.3  4.858  13
25.9  3.445  72
26.0  3.425  73
34.1  2.626  100
37.0  2.429  30
38.9  2.313  13
51.2  1.786  47
51.3  1.780  49
53.2  1.722  13
53.5  1.713  12
64.9  1.437  30
65.7  1.421  20